[1]
Starting from a cell relaxed with PBE, the XRD peak list of NaCdInF6 was simulated for CuKα.
No peak broadening, texture or thermal motion is included.

Top 10 peaks for 10 to 80 degrees two-theta, low angle first:
| d/Å | I_rel |
| --- | --- |
| 5.213 | 16 |
| 4.615 | 45 |
| 3.639 | 100 |
| 2.984 | 13 |
| 2.880 | 70 |
| 2.573 | 15 |
| 1.919 | 71 |
| 1.820 | 19 |
| 1.568 | 16 |
| 1.538 | 24 |

```
data_NaCdInF6
_chemical_formula_sum 'Na2 Cd2 In2 F12'
_space_group_name_H-M_alt 'P 42 n m'
_space_group_IT_number 102
_cell_length_a 5.1466
_cell_length_b 5.1466
_cell_length_c 10.4265
_cell_angle_alpha 90.00
_cell_angle_beta 90.00
_cell_angle_gamma 90.00
loop_
_space_group_symop_operation_xyz
'x,y,z'
'-y+1/2,x+1/2,z+1/2'
'-x,-y,z'
'y+1/2,-x+1/2,z+1/2'
'-x+1/2,y+1/2,z+1/2'
'y,x,z'
'x+1/2,-y+1/2,z+1/2'
'-y,-x,z'
loop_
_atom_site_label
_atom_site_fract_x
_atom_site_fract_y
_atom_site_fract_z
_atom_site_occupancy
Na1 0.0000 0.0000 0.0000 1
Cd1 0.0000 0.0000 0.6688 1
In1 0.0000 0.0000 0.3353 1
F1 0.1863 0.1863 0.4913 1
F2 0.1913 0.1913 0.1819 1
F3 0.2096 0.2096 0.8304 1
```

[2]
Starting from a cell relaxed with PBE, the XRD peak list of CdIr2F11 was simulated for CuKα.
No peak broadening, texture or thermal motion is included.

Top 10 peaks for 10 to 80 degrees two-theta, low angle first:
| d/Å | I_rel |
| --- | --- |
| 5.171 | 30 |
| 3.998 | 45 |
| 3.720 | 100 |
| 3.376 | 38 |
| 2.819 | 23 |
| 2.608 | 25 |
| 1.998 | 16 |
| 1.947 | 28 |
| 1.906 | 20 |
| 1.835 | 17 |

```
data_CdIr2F11
_chemical_formula_sum 'Cd4 Ir8 F44'
_space_group_name_H-M_alt 'I b a m'
_space_group_IT_number 72
_space_group_name_Hall '-I 2 2c'
_cell_length_a 8.9015
_cell_length_b 8.9303
_cell_length_c 10.3418
_cell_angle_alpha 90.00
_cell_angle_beta 90.00
_cell_angle_gamma 90.00
loop_
_atom_site_label
_atom_site_fract_x
_atom_site_fract_y
_atom_site_fract_z
_atom_site_occupancy
Cd1 0.0000 0.0000 0.2500 1
Ir1 0.1605 0.3397 0.0000 1
F1 0.0000 0.5000 0.0000 1
F2 0.0550 0.2270 0.1327 1
F3 0.1920 0.3081 0.5000 1
F4 0.2260 0.0550 0.3674 1
```

[3]
Starting from a cell relaxed with PBE, the XRD peak list of K2Cd2F5 was simulated for CuKα.
No peak broadening, texture or thermal motion is included.

Top 10 peaks for 10 to 80 degrees two-theta, low angle first:
| d/Å | I_rel |
| --- | --- |
| 5.887 | 59 |
| 4.166 | 68 |
| 3.836 | 46 |
| 3.562 | 76 |
| 3.088 | 100 |
| 3.074 | 91 |
| 2.584 | 68 |
| 2.276 | 60 |
| 2.106 | 55 |
| 1.626 | 39 |

```
data_K2Cd2F5
_chemical_formula_sum 'K4 Cd4 F10'
_space_group_name_H-M_alt 'C 1 2/m 1'
_space_group_IT_number 12
_cell_length_a 12.5083
_cell_length_b 4.5521
_cell_length_c 7.1249
_cell_angle_alpha 90.00
_cell_angle_beta 124.28
_cell_angle_gamma 90.00
loop_
_space_group_symop_operation_xyz
'x,y,z'
'-x,-y,-z'
'-x,y,-z'
'x,-y,z'
'x+1/2,y+1/2,z'
'-x+1/2,-y+1/2,-z'
'-x+1/2,y+1/2,-z'
'x+1/2,-y+1/2,z'
loop_
_atom_site_label
_atom_site_fract_x
_atom_site_fract_y
_atom_site_fract_z
_atom_site_occupancy
K1 0.1248 0.0000 0.4632 1
Cd1 0.1155 0.5000 0.9105 1
F1 0.0000 0.5000 0.5000 1
F2 0.1179 0.5000 0.2389 1
F3 0.1391 0.0000 0.8679 1
```